Structure and computed powder diffraction line list of LiZnIn2 (DFT lattice parameters and positions (PBE); Cu Kα).

Peak list (12 most intense, 10 to 90 degrees two-theta, low angle first)
- 2θ 17.8, intensity 50
- 2θ 23.2, intensity 49
- 2θ 25.4, intensity 55
- 2θ 32.9, intensity 27
- 2θ 37.7, intensity 100
- 2θ 39.4, intensity 91
- 2θ 43.5, intensity 30
- 2θ 47.4, intensity 10
- 2θ 55.6, intensity 31
- 2θ 66.9, intensity 16
- 2θ 70.3, intensity 30
- 2θ 71.4, intensity 15

```
4
Lattice="2.2891 1.3216 4.9819 -2.2891 1.3216 4.9819 0.0000 -2.6432 4.9819" Properties=species:S:1:pos:R:3 pbc="T T T"
Li 0.0000 0.0000 0.0000
Zn 0.0000 0.0000 2.8871
In 0.0000 0.0000 8.6557
In 0.0000 0.0000 11.7033
```